Entry 1:
Structure and computed X-ray powder pattern of Sr2Li16Al (a DFT-relaxed cell (PBE, Alexandria); Cu Kα (λ = 1.5418 Å)).
Kinematic intensities with the Lorentz-polarization factor, no thermal factor.

Peak list (10 most intense, 10 to 90 degrees two-theta, sorted by position)
| Position (°2θ) | I (rel.) | (hkl) |
| --- | --- | --- |
| 11.7 | 30 | 1 0 1 |
| 17.3 | 100 | 1 1 0 |
| 25.3 | 68 | 1 1 3 |
| 26.4 | 24 | 1 0 4 |
| 30.2 | 36 | 3 0 0 |
| 31.8 | 22 | 0 2 4 |
| 35.1 | 31 | 2 2 0 |
| 35.5 | 40 | 3 0 3 |
| 36.4 | 24 | 2 1 4 |
| 50.8 | 23 | 1 4 3 |

Crystal structure
a b c (Å): 10.2387 10.2387 14.5795
angles (deg): 90.00 90.00 120.00
Space group R3m (No. 160, hexagonal axes)
Asymmetric unit:
1 Sr 0.0000 0.0000 0.0000 [3 per cell]
2 Sr 0.0000 0.0000 0.3090 [3 per cell]
3 Li 0.0000 0.0000 0.5614 [3 per cell]
4 Li 0.0001 0.2724 0.6608 [18 per cell]
5 Li 0.0188 0.5094 0.5102 [9 per cell]
6 Li 0.1706 0.3413 0.1385 [9 per cell]
7 Li 0.1749 0.3498 0.4925 [9 per cell]
8 Al 0.0000 0.0000 0.7563 [3 per cell]

***

Entry 2:
Structure and computed X-ray powder pattern of Pr2Nd7Cd2 (a DFT-relaxed cell (PBE, Alexandria); Cu Kα (λ = 1.5418 Å)).
Kinematic intensities with the Lorentz-polarization factor, no thermal factor.

Peak list (10 most intense, 10 to 90 degrees two-theta, sorted by position)
| Position (°2θ) | I (rel.) | (hkl) |
| --- | --- | --- |
| 26.0 | 21 | 2 0 -2 |
| 29.9 | 67 | 1 3 -1 |
| 30.7 | 100 | 2 2 1 |
| 31.2 | 36 | 3 1 0 |
| 31.6 | 44 | 2 2 -2 |
| 33.1 | 35 | 0 0 3 |
| 34.0 | 23 | 3 1 -2 |
| 37.8 | 22 | 1 3 2 |
| 55.4 | 25 | 3 5 0 |
| 62.1 | 17 | 5 3 1 |

Crystal structure
a b c (Å): 9.2264 9.9633 8.3444
angles (deg): 90.00 103.47 90.00
Space group C2/m (No. 12)
Asymmetric unit:
1 Pr 0.0000 0.1810 0.0000 [4 per cell]
2 Nd 0.0000 0.0000 0.5000 [2 per cell]
3 Nd 0.1802 0.2953 0.6712 [8 per cell]
4 Nd 0.1911 0.5000 0.0327 [4 per cell]
5 Cd 0.1053 0.5000 0.3632 [4 per cell]

***

Entry 3:
Structure and computed X-ray powder pattern of Zr2CrGaH (a DFT-relaxed cell (PBE, Alexandria); Cu Kα (λ = 1.5418 Å)).
Kinematic intensities with the Lorentz-polarization factor, no thermal factor.

Peak list (10 most intense, 10 to 90 degrees two-theta, sorted by position)
| Position (°2θ) | I (rel.) | (hkl) |
| --- | --- | --- |
| 27.6 | 4 | 1 1 0 |
| 37.8 | 100 | 1 1 1 |
| 39.5 | 45 | 2 0 0 |
| 51.8 | 10 | 0 0 2 |
| 57.1 | 14 | 2 2 0 |
| 67.0 | 18 | 2 0 2 |
| 70.5 | 30 | 3 1 1 |
| 80.7 | 10 | 2 2 2 |
| 85.0 | 4 | 4 0 0 |
| 88.4 | 8 | 1 1 3 |

Crystal structure
a b c (Å): 4.5635 4.5635 3.5317
angles (deg): 90.00 90.00 90.00
Space group P4/mmm (No. 123)
Asymmetric unit:
1 Zr 0.0000 0.5000 0.0000 [2 per cell]
2 Cr 0.0000 0.0000 0.5000 [1 per cell]
3 Ga 0.5000 0.5000 0.5000 [1 per cell]
4 H 0.0000 0.0000 0.0000 [1 per cell]

***

Entry 4:
Structure and computed X-ray powder pattern of Mg15Mo (a DFT-relaxed cell (PBE, Alexandria); Cu Kα (λ = 1.5418 Å)).
Kinematic intensities with the Lorentz-polarization factor, no thermal factor.

Peak list (10 most intense, 10 to 90 degrees two-theta, sorted by position)
| Position (°2θ) | I (rel.) | (hkl) |
| --- | --- | --- |
| 16.3 | 14 | 1 0 0 |
| 18.5 | 19 | 1 0 1 |
| 32.9 | 26 | 2 0 0 |
| 35.4 | 25 | 0 0 4 |
| 37.4 | 100 | 2 0 2 |
| 49.0 | 16 | 2 0 4 |
| 58.7 | 17 | 2 2 0 |
| 64.9 | 18 | 2 0 6 |
| 70.4 | 18 | 2 2 4 |
| 71.7 | 14 | 4 0 2 |

Crystal structure
a b c (Å): 6.2959 6.2959 10.1514
angles (deg): 90.00 90.00 120.00
Space group P-6m2 (No. 187)
Asymmetric unit:
1 Mg 0.0000 0.0000 0.0000 [1 per cell]
2 Mg 0.0030 0.5015 0.0000 [3 per cell]
3 Mg 0.1610 0.3221 0.2620 [6 per cell]
4 Mg 0.5009 0.0017 0.5000 [3 per cell]
5 Mg 0.6667 0.3333 0.2473 [2 per cell]
6 Mo 0.0000 0.0000 0.5000 [1 per cell]

***

Entry 5:
Structure and computed X-ray powder pattern of MnGaCoSe2 (a DFT-relaxed cell (PBE, Alexandria); Cu Kα (λ = 1.5418 Å)).
Kinematic intensities with the Lorentz-polarization factor, no thermal factor.

Peak list (10 most intense, 10 to 90 degrees two-theta, sorted by position)
| Position (°2θ) | I (rel.) | (hkl) |
| --- | --- | --- |
| 17.9 | 39 | 1 0 0 |
| 31.1 | 70 | 1 0 -2 |
| 31.9 | 54 | 2 0 -1 |
| 32.9 | 31 | 0 1 1 |
| 33.2 | 100 | 1 1 0 |
| 42.7 | 30 | 2 1 -1 |
| 45.5 | 64 | 0 1 2 |
| 46.7 | 36 | 2 1 -2 |
| 56.2 | 29 | 2 1 1 |
| 57.1 | 34 | 0 2 0 |

Crystal structure
a b c (Å): 5.6114 3.2260 5.7504
angles (deg): 90.00 118.14 90.00
Space group Pm (No. 6)
Asymmetric unit:
1 Mn 0.0000 0.0000 0.0000 [1 per cell]
2 Ga 0.4111 0.5000 0.2079 [1 per cell]
3 Co 0.8713 0.5000 0.2903 [1 per cell]
4 Se 0.0370 0.0000 0.5971 [1 per cell]
5 Se 0.6524 0.5000 0.8354 [1 per cell]

***

Entry 6:
Structure and computed X-ray powder pattern of Al6W (a DFT-relaxed cell (PBE, Alexandria); Cu Kα (λ = 1.5418 Å)).
Kinematic intensities with the Lorentz-polarization factor, no thermal factor.

Peak list (10 most intense, 10 to 90 degrees two-theta, sorted by position)
| Position (°2θ) | I (rel.) | (hkl) |
| --- | --- | --- |
| 17.4 | 100 | 1 1 0 |
| 19.6 | 45 | 0 0 2 |
| 23.0 | 32 | 2 0 0 |
| 26.3 | 95 | 0 2 0 |
| 30.4 | 30 | 2 0 2 |
| 38.7 | 19 | 3 1 1 |
| 40.5 | 45 | 2 2 2 |
| 42.5 | 56 | 3 1 2 |
| 42.7 | 31 | 1 3 1 |
| 43.7 | 43 | 1 1 4 |

Crystal structure
a b c (Å): 7.7172 6.8075 9.0757
angles (deg): 90.00 90.00 90.00
Space group Cmcm (No. 63)
Asymmetric unit:
1 Al 0.0000 0.1237 0.1039 [8 per cell]
2 Al 0.1738 0.5000 0.0000 [8 per cell]
3 Al 0.1791 0.2120 0.7500 [8 per cell]
4 W 0.0000 0.4515 0.2500 [4 per cell]

***

Entry 7:
Structure and computed X-ray powder pattern of Er4ScPd2 (a DFT-relaxed cell (PBE, Alexandria); Cu Kα (λ = 1.5418 Å)).
Kinematic intensities with the Lorentz-polarization factor, no thermal factor.

Peak list (10 most intense, 10 to 90 degrees two-theta, sorted by position)
| Position (°2θ) | I (rel.) | (hkl) |
| --- | --- | --- |
| 21.4 | 16 | 0 0 6 |
| 24.7 | 19 | 1 0 4 |
| 27.0 | 34 | 0 1 5 |
| 32.3 | 35 | 1 0 7 |
| 35.3 | 100 | 1 1 0 |
| 41.6 | 34 | 1 0 10 |
| 48.6 | 14 | 0 2 7 |
| 57.2 | 19 | 1 1 12 |
| 63.3 | 20 | 3 0 0 |
| 67.7 | 15 | 2 1 10 |

Crystal structure
a b c (Å): 5.0873 5.0873 24.9385
angles (deg): 90.00 90.00 120.00
Space group R-3m (No. 166, hexagonal axes)
Asymmetric unit:
1 Er 0.0000 0.0000 0.1191 [6 per cell]
2 Er 0.0000 0.0000 0.2879 [6 per cell]
3 Sc 0.0000 0.0000 0.5000 [3 per cell]
4 Pd 0.0000 0.0000 0.3981 [6 per cell]

***

Entry 8:
Structure and computed X-ray powder pattern of CeMg2Tl2Ag2 (a DFT-relaxed cell (PBE, Alexandria); Cu Kα (λ = 1.5418 Å)).
Kinematic intensities with the Lorentz-polarization factor, no thermal factor.

Peak list (10 most intense, 10 to 90 degrees two-theta, sorted by position)
| Position (°2θ) | I (rel.) | (hkl) |
| --- | --- | --- |
| 21.4 | 19 | 0 0 6 |
| 25.8 | 90 | 1 0 4 |
| 33.2 | 88 | 1 0 7 |
| 37.6 | 100 | 1 1 0 |
| 43.7 | 18 | 1 1 6 |
| 45.6 | 29 | 0 1 11 |
| 46.2 | 19 | 0 2 4 |
| 51.0 | 26 | 0 2 7 |
| 65.1 | 25 | 2 1 7 |
| 67.9 | 17 | 3 0 0 |

Crystal structure
a b c (Å): 4.7793 4.7793 24.9331
angles (deg): 90.00 90.00 120.00
Space group R-3m (No. 166, hexagonal axes)
Asymmetric unit:
1 Ce 0.0000 0.0000 0.0000 [3 per cell]
2 Mg 0.0000 0.0000 0.1387 [6 per cell]
3 Tl 0.0000 0.0000 0.2661 [6 per cell]
4 Ag 0.0000 0.0000 0.4404 [6 per cell]

***

Entry 9:
Structure and computed X-ray powder pattern of Ba2Mg5Ga3 (a DFT-relaxed cell (PBE, Alexandria); Cu Kα (λ = 1.5418 Å)).
Kinematic intensities with the Lorentz-polarization factor, no thermal factor.

Peak list (10 most intense, 10 to 90 degrees two-theta, sorted by position)
| Position (°2θ) | I (rel.) | (hkl) |
| --- | --- | --- |
| 20.2 | 25 | 1 0 1 |
| 26.9 | 40 | 1 1 0 |
| 28.5 | 88 | 1 0 3 |
| 30.5 | 100 | 1 1 2 |
| 34.3 | 25 | 1 0 4 |
| 38.4 | 60 | 2 0 0 |
| 40.6 | 24 | 1 0 5 |
| 47.4 | 23 | 1 0 6 |
| 48.5 | 40 | 2 1 3 |
| 62.6 | 27 | 2 1 6 |

Crystal structure
a b c (Å): 4.6901 4.6901 12.6151
angles (deg): 90.00 90.00 90.00
Space group P-4m2 (No. 115)
Asymmetric unit:
1 Ba 0.0000 0.5000 0.2208 [2 per cell]
2 Mg 0.0000 0.0000 0.5000 [1 per cell]
3 Mg 0.0000 0.5000 0.6573 [2 per cell]
4 Mg 0.5000 0.5000 0.0000 [1 per cell]
5 Mg 0.5000 0.5000 0.5000 [1 per cell]
6 Ga 0.0000 0.0000 0.0000 [1 per cell]
7 Ga 0.0000 0.5000 0.8803 [2 per cell]

***

Entry 10:
Structure and computed X-ray powder pattern of LiY6Cd (a DFT-relaxed cell (PBE, Alexandria); Cu Kα (λ = 1.5418 Å)).
Kinematic intensities with the Lorentz-polarization factor, no thermal factor.

Peak list (10 most intense, 10 to 90 degrees two-theta, sorted by position)
| Position (°2θ) | I (rel.) | (hkl) |
| --- | --- | --- |
| 14.4 | 25 | 1 0 1 |
| 28.9 | 32 | 2 0 2 |
| 31.9 | 100 | 2 1 1 |
| 33.0 | 64 | 2 -1 3 |
| 34.8 | 18 | 3 0 0 |
| 35.4 | 51 | 3 -2 2 |
| 37.0 | 18 | 1 0 4 |
| 52.4 | 16 | 5 -2 1 |
| 60.0 | 16 | 4 0 4 |
| 70.2 | 16 | 5 -3 5 |

Crystal structure
a b c (Å): 8.9191 8.9191 10.2517
angles (deg): 90.00 90.00 120.00
Space group R-3 (No. 148, hexagonal axes)
Asymmetric unit:
1 Li 0.0000 0.0000 0.0000 [3 per cell]
2 Y 0.0185 0.2570 0.2320 [18 per cell]
3 Cd 0.0000 0.0000 0.5000 [3 per cell]

***

Entry 11:
Structure and computed X-ray powder pattern of Mg4Cu5Te3O18 (a DFT-relaxed cell (PBE, Alexandria); Cu Kα (λ = 1.5418 Å)).
Kinematic intensities with the Lorentz-polarization factor, no thermal factor.

Peak list (10 most intense, 10 to 90 degrees two-theta, sorted by position)
| Position (°2θ) | I (rel.) | (hkl) |
| --- | --- | --- |
| 20.1 | 32 | 1 1 -2 |
| 20.4 | 100 | 3 1 0 |
| 22.0 | 25 | 2 0 2 |
| 27.7 | 35 | 4 0 -2 |
| 29.9 | 53 | 2 2 2 |
| 31.4 | 29 | 3 1 -3 |
| 34.3 | 29 | 4 2 -2 |
| 35.0 | 65 | 1 3 -2 |
| 47.9 | 27 | 5 3 2 |
| 54.0 | 52 | 7 3 -2 |

Crystal structure
a b c (Å): 15.0917 8.9152 10.4185
angles (deg): 90.00 96.91 90.00
Space group C2/c (No. 15)
Asymmetric unit:
1 Mg 0.0176 0.1592 0.0279 [8 per cell]
2 Mg 0.2023 0.3656 0.9199 [8 per cell]
3 Cu 0.0000 0.3312 0.7500 [4 per cell]
4 Cu 0.1517 0.3326 0.2624 [8 per cell]
5 Cu 0.1648 0.1972 0.5525 [8 per cell]
6 Te 0.0000 0.5000 0.0000 [4 per cell]
7 Te 0.1551 0.0086 0.7989 [8 per cell]
8 O 0.0703 0.0008 0.9222 [8 per cell]
9 O 0.0721 0.3316 0.4485 [8 per cell]
10 O 0.0717 0.3432 0.9270 [8 per cell]
11 O 0.0743 0.4922 0.1669 [8 per cell]
12 O 0.0942 0.1703 0.6952 [8 per cell]
13 O 0.1007 0.1503 0.1875 [8 per cell]
14 O 0.2167 0.1683 0.3857 [8 per cell]
15 O 0.2304 0.1485 0.9043 [8 per cell]
16 O 0.2470 0.0321 0.6712 [8 per cell]

***

Entry 12:
Structure and computed X-ray powder pattern of Ho5MgTl8 (a DFT-relaxed cell (PBE, Alexandria); Cu Kα (λ = 1.5418 Å)).
Kinematic intensities with the Lorentz-polarization factor, no thermal factor.

Peak list (10 most intense, 10 to 90 degrees two-theta, sorted by position)
| Position (°2θ) | I (rel.) | (hkl) |
| --- | --- | --- |
| 23.6 | 12 | 1 2 1 |
| 23.9 | 12 | 1 1 2 |
| 30.5 | 100 | 1 3 0 |
| 31.2 | 40 | 1 0 3 |
| 36.3 | 40 | 3 2 1 |
| 36.5 | 33 | 1 3 2 |
| 36.9 | 56 | 2 1 3 |
| 48.3 | 25 | 4 2 2 |
| 61.6 | 16 | 0 0 6 |
| 65.2 | 13 | 5 4 1 |

Crystal structure
a b c (Å): 9.2799 9.2799 9.0360
angles (deg): 90.00 90.00 90.00
Space group I-4 (No. 82)
Asymmetric unit:
1 Ho 0.0000 0.0000 0.0000 [2 per cell]
2 Ho 0.1174 0.2692 0.3594 [8 per cell]
3 Mg 0.0000 0.5000 0.7500 [2 per cell]
4 Tl 0.0700 0.1714 0.6962 [8 per cell]
5 Tl 0.0891 0.3279 0.0195 [8 per cell]

***

> Which formula does entry 1 have?

Sr2Li16Al